For TiAlCu, a DFT-relaxed cell (GGA-PBE, Alexandria) gives the simulated powder XRD pattern in this record (Cu Kα (λ = 1.5418 Å)).
Peak positions follow from Bragg's law for the DFT cell and can differ from measured ones.

Atomic structure:
Lattice parameters (Å, degrees): 5.4633 3.9862 8.1738 90.00 90.00 90.00
Space group Pnma (No. 62)
Inequivalent atoms, fractional coordinates:
1 Ti 0.1426 0.2500 0.0735 x4
2 Al 0.1469 0.2500 0.4034 x4
3 Cu 0.0811 0.2500 0.7322 x4

Top 8 peaks for 10 to 80 degrees two-theta, by angle:
2θ 21.7, I = 6, (0 0 2); 2θ 24.9, I = 10, (0 1 1); 2θ 39.7, I = 6, (2 0 2); 2θ 40.1, I = 100, (0 1 3); 2θ 41.6, I = 10, (2 1 1); 2θ 45.5, I = 19, (0 2 0); 2θ 47.1, I = 27, (2 0 3); 2θ 67.6, I = 17, (2 2 3)

=====

For Ti4Al3Cu, a DFT-relaxed cell (GGA-PBE, Alexandria) gives the simulated powder XRD pattern in this record (Cu Kα (λ = 1.5418 Å)).
Peak positions follow from Bragg's law for the DFT cell and can differ from measured ones.

Atomic structure:
Lattice parameters (Å, degrees): 9.1858 5.6733 4.8546 90.00 90.00 90.00
Space group Pmma (No. 51)
Inequivalent atoms, fractional coordinates:
1 Ti 0.0000 0.2495 0.0000 x4
2 Ti 0.2500 0.2465 0.3309 x4
3 Al 0.0000 0.5000 0.5000 x2
4 Al 0.2500 0.0000 0.8270 x2
5 Al 0.2500 0.5000 0.8331 x2
6 Cu 0.0000 0.0000 0.5000 x2

Top 8 peaks for 10 to 80 degrees two-theta, by angle:
2θ 36.7, I = 15, (0 2 1); 2θ 38.0, I = 32, (1 2 1); 2θ 39.2, I = 50, (4 0 0); 2θ 41.8, I = 100, (2 2 1); 2θ 42.1, I = 51, (2 0 2); 2θ 47.5, I = 16, (3 2 1); 2θ 66.5, I = 19, (0 2 3); 2θ 72.9, I = 17, (6 2 1)

=====

For Ti2AlCu4, a DFT-relaxed cell (GGA-PBE, Alexandria) gives the simulated powder XRD pattern in this record (Cu Kα (λ = 1.5418 Å)).
Peak positions follow from Bragg's law for the DFT cell and can differ from measured ones.

Atomic structure:
Lattice parameters (Å, degrees): 8.8071 5.0132 9.1154 90.00 90.00 90.00
Space group Cmce (No. 64)
Inequivalent atoms, fractional coordinates:
1 Ti 0.1586 0.0000 0.0000 x8
2 Al 0.0000 0.0000 0.5000 x4
3 Cu 0.0000 0.1547 0.2439 x8
4 Cu 0.2500 0.1636 0.7500 x8

Top 8 peaks for 10 to 80 degrees two-theta, by angle:
2θ 19.5, I = 69, (0 0 2); 2θ 36.8, I = 33, (3 1 1); 2θ 39.5, I = 78, (0 0 4); 2θ 41.0, I = 26, (4 0 0); 2θ 41.1, I = 49, (0 2 2); 2θ 42.7, I = 100, (2 2 1); 2θ 45.8, I = 62, (4 0 2); 2θ 51.6, I = 55, (2 2 3)

=====

For Tm2Al6Cu9, a DFT-relaxed cell (GGA-PBE, Alexandria) gives the simulated powder XRD pattern in this record (Cu Kα (λ = 1.5418 Å)).
Peak positions follow from Bragg's law for the DFT cell and can differ from measured ones.

Atomic structure:
Lattice parameters (Å, degrees): 5.1884 5.1884 12.0724 90.00 90.00 120.00
Space group P6/mmm (No. 191)
Inequivalent atoms, fractional coordinates:
1 Tm 0.0000 0.0000 0.1697 x2
2 Al 0.3333 0.6667 0.1643 x4
3 Al 0.3333 0.6667 0.5000 x2
4 Cu 0.0000 0.5000 0.0000 x3
5 Cu 0.0000 0.5000 0.3309 x6

Top 8 peaks for 10 to 80 degrees two-theta, by angle:
2θ 21.1, I = 28, (1 0 1); 2θ 24.7, I = 23, (1 0 2); 2θ 29.8, I = 100, (1 0 3); 2θ 40.1, I = 81, (2 0 0); 2θ 41.4, I = 95, (1 1 3); 2θ 45.1, I = 31, (0 0 6); 2θ 59.0, I = 28, (2 1 3); 2θ 61.9, I = 45, (2 0 6)